No. 1
# K2GaPt
Computed powder diffraction line list, Cu Kα (weighted mean of Kα1 and Kα2). Input: the GGA-PBE geometry in Alexandria.
Intensities are scaled so that the largest is 100.

Structural model:
```
K2GaPt
1.0
7.537 0.000 0.000
0.000 4.353 0.000
-2.613 0.000 9.259
K Ga Pt
4 2 2
Direct
0.000 0.000 0.000 K
0.177 0.000 0.511 K
0.500 0.500 0.000 K
0.677 0.500 0.511 K
0.255 0.500 0.255 Ga
0.755 0.000 0.255 Ga
0.422 0.000 0.255 Pt
0.922 0.500 0.255 Pt
```

Main lines, by angle (5 to 70 degrees two-theta):
2theta	d [Å]	I_rel
9.6	9.259	100
19.2	4.629	10
23.8	3.735	8
24.4	3.643	7
27.0	3.305	12
28.5	3.127	13
28.9	3.086	9
32.9	2.726	8
41.5	2.176	16
42.6	2.121	12

***

No. 2
# Sc6Zn3Pd
Computed powder diffraction line list, Cu Kα (weighted mean of Kα1 and Kα2). Input: the GGA-PBE geometry in Alexandria.
Intensities are scaled so that the largest is 100.

Structural model:
```
Sc6Zn3Pd
1.0
8.349 0.000 0.000
0.000 4.767 0.000
-3.241 0.000 9.914
Sc Zn Pd
12 6 2
Direct
0.033 0.250 0.409 Sc
0.157 0.750 0.173 Sc
0.253 0.250 0.002 Sc
0.341 0.750 0.816 Sc
0.370 0.250 0.339 Sc
0.392 0.250 0.627 Sc
0.608 0.750 0.373 Sc
0.630 0.750 0.661 Sc
0.659 0.250 0.184 Sc
0.747 0.750 0.998 Sc
0.843 0.250 0.827 Sc
0.967 0.750 0.591 Sc
0.026 0.750 0.878 Zn
0.108 0.250 0.716 Zn
0.273 0.750 0.475 Zn
0.727 0.250 0.525 Zn
0.892 0.750 0.284 Zn
0.974 0.250 0.122 Zn
0.450 0.750 0.099 Pd
0.550 0.250 0.901 Pd
```

Main lines, by angle (5 to 70 degrees two-theta):
2theta	d [Å]	I_rel
25.9	3.434	11
36.3	2.476	27
37.4	2.402	55
37.7	2.387	100
38.2	2.356	10
41.1	2.197	10
53.4	1.717	18
54.9	1.671	8
67.9	1.380	12
68.1	1.377	10